(1)
The following is a calculated PXRD pattern of Li8MnFe7B8O24. It was derived from the PBE+U geometry in the Materials Project, using Cu Kα (weighted mean of Kα1 and Kα2).

The 10 most intense peaks (10° ≤ 2θ ≤ 90°), sorted by position:
d (Å)	intensity
4.527	70
4.149	38
4.120	67
3.449	44
3.379	29
2.614	87
2.597	100
2.222	43
1.695	24
1.509	34

Structural model:
Unit cell a=5.2295 b=9.0550 c=10.3921 alpha=88.78 beta=89.39 gamma=89.91
Space group P1 (No. 1)
Inequivalent atoms, fractional coordinates:
Li  0.0000  0.0000  0.0000
Li  0.0137  0.9923  0.4999
Li  0.3310  0.3420  0.2512
Li  0.3619  0.3296  0.7506
Li  0.4978  0.4978  0.9991
Li  0.5146  0.4904  0.4980
Li  0.8313  0.8416  0.2521
Li  0.8620  0.8307  0.7496
Mn  0.5064  0.8326  0.9682
Fe  0.0027  0.3362  0.9678
Fe  0.0169  0.6648  0.4683
Fe  0.3367  0.0108  0.2162
Fe  0.3592  0.6653  0.7160
Fe  0.5182  0.1633  0.4687
Fe  0.8390  0.5083  0.2170
Fe  0.8590  0.1681  0.7171
B  0.0072  0.3333  0.4589
B  0.0146  0.6642  0.9581
B  0.3416  0.6691  0.2116
B  0.3475  0.9997  0.7091
B  0.5060  0.8326  0.4595
B  0.5121  0.1671  0.9606
B  0.8412  0.1699  0.2105
B  0.8484  0.4998  0.7083
O  0.0839  0.9891  0.6973
O  0.0857  0.6786  0.2493
O  0.2680  0.3392  0.4453
O  0.2744  0.6481  0.9275
O  0.3563  0.9577  0.4315
O  0.3716  0.0441  0.0035
O  0.3901  0.7001  0.4994
O  0.3926  0.3017  0.9447
O  0.4577  0.5324  0.1980
O  0.4692  0.1337  0.6804
O  0.4816  0.7976  0.1828
O  0.4896  0.8762  0.7479
O  0.5851  0.4875  0.6957
O  0.5866  0.1808  0.2493
O  0.7689  0.8395  0.4461
O  0.7737  0.1523  0.9308
O  0.8561  0.4577  0.4296
O  0.8726  0.5415  0.0000
O  0.8895  0.2012  0.5006
O  0.8998  0.8014  0.9457
O  0.9554  0.0318  0.1992
O  0.9671  0.6349  0.6798
O  0.9844  0.2966  0.1801
O  0.9921  0.3773  0.7477

***

(2)
The following is a calculated PXRD pattern of Li4Mn3FeB4O12. It was derived from the PBE+U geometry in the Materials Project, using Cu Kα (weighted mean of Kα1 and Kα2).

The 10 most intense peaks (10° ≤ 2θ ≤ 90°), sorted by position:
d (Å)	intensity
4.358	80
4.299	21
4.026	33
3.947	60
2.693	100
2.636	32
2.621	24
2.588	29
2.252	25
2.215	54

Structural model:
Unit cell a=5.2428 b=6.0531 c=8.2795 alpha=103.44 beta=90.80 gamma=90.73
Space group P1 (No. 1)
Inequivalent atoms, fractional coordinates:
Li  0.0000  0.0000  0.0000
Li  0.1972  0.5940  0.9358
Li  0.4992  0.5015  0.4978
Li  0.6989  0.0939  0.4339
Mn  0.0170  0.7336  0.6344
Mn  0.5152  0.2339  0.1366
Mn  0.6821  0.3611  0.7959
Fe  0.1888  0.8634  0.2983
B  0.0191  0.3818  0.3116
B  0.1805  0.2124  0.6180
B  0.5185  0.8803  0.8128
B  0.6795  0.7126  0.1225
O  0.0315  0.0319  0.5233
O  0.0633  0.3855  0.7319
O  0.1351  0.2061  0.1997
O  0.1691  0.5634  0.4029
O  0.2589  0.8724  0.8394
O  0.4400  0.2204  0.5924
O  0.5313  0.5328  0.0274
O  0.5568  0.8844  0.2358
O  0.6360  0.7062  0.6997
O  0.6684  0.0610  0.9054
O  0.7597  0.3733  0.3395
O  0.9386  0.7249  0.0993

***

(3)
The following is a calculated PXRD pattern of Li2MnFeB2O6. It was derived from the PBE+U geometry in the Materials Project, using Cu Kα (weighted mean of Kα1 and Kα2).

The 10 most intense peaks (10° ≤ 2θ ≤ 90°), sorted by position:
d (Å)	intensity
4.350	81
4.000	32
3.947	60
2.677	100
2.628	33
2.617	24
2.579	30
2.361	23
2.242	25
2.205	33

Structural model:
Unit cell a=5.1628 b=5.2354 c=6.0312 alpha=91.01 beta=113.13 gamma=119.23
Space group P1 (No. 1)
Inequivalent atoms, fractional coordinates:
Li  0.0000  0.0000  0.0000
Li  0.1218  0.2553  0.6538
Mn  0.3941  0.8751  0.5559
Fe  0.7202  0.3681  0.0894
B  0.3691  0.7016  0.0656
B  0.7484  0.5487  0.5877
O  0.1729  0.7512  0.1468
O  0.3241  0.4197  0.0308
O  0.5219  0.3188  0.6492
O  0.6006  0.9398  0.0121
O  0.8036  0.8363  0.6249
O  0.9326  0.4911  0.4980

***

(4)
The following is a calculated PXRD pattern of Li6MnFe5B6O18. It was derived from the PBE+U geometry in the Materials Project, using Cu Kα (weighted mean of Kα1 and Kα2).

The 10 most intense peaks (10° ≤ 2θ ≤ 90°), sorted by position:
d (Å)	intensity
4.127	100
2.872	15
2.702	15
2.497	77
2.383	32
2.063	10
1.897	27
1.724	24
1.676	17
1.568	10

Structural model:
Unit cell a=16.5071 b=6.2732 c=8.2469 alpha=90.00 beta=119.90 gamma=90.00
Space group Cm (No. 8)
Inequivalent atoms, fractional coordinates:
Li  0.0000  0.2492  0.0000
Li  0.1348  0.2500  0.6822
Li  0.3409  0.2508  0.4132
Mn  0.4855  0.0000  0.3255
Fe  0.1758  0.0000  0.0579
Fe  0.1755  0.5000  0.0575
Fe  0.3123  0.0000  0.7060
Fe  0.3118  0.5000  0.7054
Fe  0.4881  0.5000  0.3306
B  0.1592  0.2481  0.3647
B  0.3244  0.2516  0.0302
B  0.4920  0.5000  0.6982
B  0.4929  0.0000  0.7005
O  0.0339  0.5000  0.8949
O  0.0345  0.0000  0.8923
O  0.0466  0.0000  0.6124
O  0.0488  0.5000  0.6186
O  0.0621  0.2461  0.2787
O  0.2022  0.2497  0.2563
O  0.2132  0.2497  0.5592
O  0.2276  0.2496  0.9510
O  0.3646  0.2506  0.9162
O  0.3812  0.2535  0.2242
O  0.3949  0.5000  0.5891
O  0.3956  0.0000  0.5891

***

(5)
The following is a calculated PXRD pattern of Li8MnFe7B8O24. It was derived from the PBE+U geometry in the Materials Project, using Cu Kα (weighted mean of Kα1 and Kα2).

The 10 most intense peaks (10° ≤ 2θ ≤ 90°), sorted by position:
d (Å)	intensity
4.519	64
4.138	42
4.109	64
3.450	48
3.365	31
2.615	26
2.609	61
2.587	100
2.222	51
1.865	26

Structural model:
Unit cell a=5.2137 b=9.0615 c=11.4653 alpha=68.15 beta=77.49 gamma=89.87
Space group P1 (No. 1)
Inequivalent atoms, fractional coordinates:
Li  0.0000  0.0000  0.0000
Li  0.0241  0.0415  0.2508
Li  0.2651  0.2462  0.4998
Li  0.3141  0.2789  0.7504
Li  0.4989  0.5006  0.9999
Li  0.5265  0.5411  0.2502
Li  0.7664  0.7447  0.5003
Li  0.8127  0.7778  0.7513
Mn  0.2738  0.9300  0.4668
Fe  0.0272  0.3425  0.9671
Fe  0.0463  0.7212  0.2152
Fe  0.3255  0.6289  0.7160
Fe  0.5287  0.8441  0.9662
Fe  0.5460  0.2215  0.2153
Fe  0.7654  0.4297  0.4669
Fe  0.8256  0.1293  0.7147
B  0.0295  0.6810  0.9594
B  0.0599  0.3918  0.2092
B  0.2712  0.5983  0.4599
B  0.3228  0.9700  0.7110
B  0.5303  0.1812  0.9592
B  0.5602  0.8915  0.2087
B  0.7711  0.1022  0.4584
B  0.8234  0.4695  0.7098
O  0.0262  0.6276  0.4290
O  0.0586  0.4389  0.7494
O  0.1242  0.7926  0.0001
O  0.1923  0.8576  0.6824
O  0.1932  0.5722  0.9285
O  0.2166  0.1151  0.6967
O  0.2715  0.1778  0.9463
O  0.3311  0.4111  0.1955
O  0.3936  0.6994  0.5016
O  0.3952  0.4681  0.4459
O  0.3960  0.9944  0.2478
O  0.4561  0.7711  0.1797
O  0.5260  0.1345  0.4274
O  0.5591  0.9397  0.7496
O  0.6247  0.2935  0.9994
O  0.6939  0.0718  0.9293
O  0.6941  0.3579  0.6800
O  0.7164  0.6145  0.6965
O  0.7702  0.6777  0.9468
O  0.8311  0.9105  0.1957
O  0.8886  0.9701  0.4453
O  0.8942  0.2031  0.5004
O  0.8961  0.4937  0.2494
O  0.9564  0.2719  0.1790

***

(6)
The following is a calculated PXRD pattern of Li4Mn3FeB4O12. It was derived from the PBE+U geometry in the Materials Project, using Cu Kα (weighted mean of Kα1 and Kα2).

The 10 most intense peaks (10° ≤ 2θ ≤ 90°), sorted by position:
d (Å)	intensity
4.346	80
4.292	21
4.022	33
3.931	61
2.681	100
2.634	33
2.616	24
2.584	30
2.251	27
2.213	56

Structural model:
Unit cell a=5.1733 b=5.2325 c=11.0773 alpha=76.41 beta=78.97 gamma=60.90
Space group P1 (No. 1)
Inequivalent atoms, fractional coordinates:
Li  0.0000  0.0000  0.0000
Li  0.1997  0.9350  0.3300
Li  0.4977  0.4995  0.5017
Li  0.7015  0.4320  0.8294
Mn  0.3218  0.3296  0.0479
Mn  0.8197  0.8330  0.5485
Mn  0.8762  0.6033  0.2834
Fe  0.3777  0.1086  0.7833
B  0.0364  0.7640  0.7960
B  0.1600  0.1714  0.5354
B  0.5373  0.2637  0.2969
B  0.6604  0.6715  0.0331
O  0.0081  0.0287  0.8128
O  0.2001  0.9014  0.5176
O  0.2946  0.4978  0.8245
O  0.3107  0.2468  0.2518
O  0.3864  0.1877  0.5809
O  0.4024  0.9313  0.0016
O  0.4970  0.5340  0.3140
O  0.6994  0.4011  0.0163
O  0.7954  0.0038  0.3288
O  0.8014  0.7538  0.7544
O  0.8879  0.6872  0.0782
O  0.9025  0.4318  0.5027

***

(7)
The following is a calculated PXRD pattern of Li4MnFe3B4O12. It was derived from the PBE+U geometry in the Materials Project, using Cu Kα (weighted mean of Kα1 and Kα2).

The 10 most intense peaks (10° ≤ 2θ ≤ 90°), sorted by position:
d (Å)	intensity
4.347	81
4.281	25
4.003	31
3.937	61
2.664	100
2.627	30
2.611	24
2.578	26
2.243	23
2.203	50

Structural model:
Unit cell a=5.2242 b=5.9980 c=8.2199 alpha=103.05 beta=90.52 gamma=91.11
Space group P1 (No. 1)
Inequivalent atoms, fractional coordinates:
Li  0.0000  0.0000  0.0000
Li  0.1906  0.5895  0.9419
Li  0.4996  0.4970  0.5046
Li  0.6928  0.0851  0.4464
Mn  0.5157  0.2273  0.1416
Fe  0.0111  0.7234  0.6366
Fe  0.1826  0.8608  0.3037
Fe  0.6796  0.3630  0.8063
B  0.0163  0.3761  0.3189
B  0.1743  0.2064  0.6285
B  0.5167  0.8780  0.8153
B  0.6757  0.7094  0.1288
O  0.0285  0.0255  0.5312
O  0.0521  0.3773  0.7411
O  0.1341  0.2050  0.2029
O  0.1654  0.5568  0.4143
O  0.2574  0.8644  0.8390
O  0.4361  0.2194  0.6051
O  0.5291  0.5307  0.0290
O  0.5527  0.8764  0.2457
O  0.6421  0.7057  0.7030
O  0.6649  0.0593  0.9104
O  0.7562  0.3657  0.3447
O  0.9360  0.7234  0.1073

***

(8)
The following is a calculated PXRD pattern of Li6MnFe5B6O18. It was derived from the PBE+U geometry in the Materials Project, using Cu Kα (weighted mean of Kα1 and Kα2).

The 10 most intense peaks (10° ≤ 2θ ≤ 90°), sorted by position:
d (Å)	intensity
4.124	100
2.874	15
2.700	15
2.498	78
2.381	31
2.061	10
1.897	27
1.724	24
1.675	17
1.570	10

Structural model:
Unit cell a=8.2441 b=3.1396 c=14.2940 alpha=90.00 beta=90.10 gamma=90.00
Space group Pm (No. 6)
Inequivalent atoms, fractional coordinates:
Li  0.0000  0.0000  0.0000
Li  0.0248  0.0000  0.7071
Li  0.0723  0.0000  0.3397
Li  0.4988  0.0000  0.4991
Li  0.5241  0.0000  0.2061
Li  0.5711  0.0000  0.8419
Mn  0.6910  0.5000  0.6626
Fe  0.1769  0.5000  0.5288
Fe  0.1891  0.5000  0.1644
Fe  0.2278  0.5000  0.8531
Fe  0.6775  0.5000  0.0289
Fe  0.7295  0.5000  0.3521
B  0.3628  0.0000  0.6822
B  0.3652  0.0000  0.0157
B  0.3648  0.5000  0.3487
B  0.8640  0.5000  0.8501
B  0.8652  0.0000  0.1821
B  0.8673  0.0000  0.5138
O  0.0029  0.5000  0.7944
O  0.0167  0.0000  0.1394
O  0.0211  0.0000  0.4740
O  0.2130  0.5000  0.3060
O  0.2222  0.0000  0.6281
O  0.2286  0.0000  0.9579
O  0.3468  0.0000  0.1126
O  0.3525  0.0000  0.7794
O  0.3769  0.5000  0.4459
O  0.5046  0.5000  0.2942
O  0.5132  0.0000  0.6388
O  0.5198  0.0000  0.9765
O  0.7110  0.5000  0.8091
O  0.7249  0.0000  0.1279
O  0.7290  0.0000  0.4575
O  0.8518  0.0000  0.6111
O  0.8538  0.0000  0.2792
O  0.8792  0.5000  0.9471